Fe4O7F: calculated powder XRD pattern (CuKα), based on the GGA+U geometry in Alexandria.
Peak positions follow from Bragg's law for the DFT cell and can differ from measured ones.

Structural model:
```
Fe4O7F
1.0
6.4312 0.0000 0.0000
0.0000 3.0062 6.6686
0.0000 -3.0062 6.6686
Fe O F
8 14 2
Cartesian
0.0000 0.0000 0.0000
0.0000 -1.4762 3.3379
0.0000 0.0000 6.5074
0.0000 1.4762 3.3379
3.2156 0.0000 3.3004
3.2156 -1.4742 6.6758
3.2156 0.0000 9.8603
3.2156 1.4742 6.6758
0.0000 0.0000 2.0542
0.0000 0.0000 4.5912
0.0000 0.0000 11.1922
1.2408 -1.5260 6.6190
1.2408 1.5260 6.6190
1.9736 -1.4816 9.9510
1.9736 1.4816 9.9510
3.2156 0.0000 1.2022
3.2156 0.0000 5.3869
3.2156 0.0000 7.9311
4.4576 -1.4816 9.9510
4.4576 1.4816 9.9510
5.1904 -1.5260 6.6190
5.1904 1.5260 6.6190
0.0000 0.0000 8.6027
3.2156 0.0000 11.9557
```

Peak list (10 most intense, 15 to 90 degrees two-theta, in order of rising 2θ)
d = 3.334 Å, rel. 96
d = 3.216 Å, rel. 92
d = 2.521 Å, rel. 100
d = 2.315 Å, rel. 20
d = 1.722 Å, rel. 58
d = 1.689 Å, rel. 54
d = 1.667 Å, rel. 16
d = 1.608 Å, rel. 15
d = 1.503 Å, rel. 15
d = 1.373 Å, rel. 39

=====

Fe5O3F7: calculated powder XRD pattern (CuKα), based on the GGA+U geometry in Alexandria.
Peak positions follow from Bragg's law for the DFT cell and can differ from measured ones.

Structural model:
```
Fe5O3F7
1.0
15.8763 0.0000 0.0000
0.0000 4.7651 0.0000
0.0000 0.0000 4.7787
Fe O F
10 6 14
Cartesian
0.0000 1.1743 0.0000
1.5120 3.6941 2.2103
3.3043 1.0373 0.0481
4.6339 3.7278 2.4374
6.4261 1.0710 4.5997
7.9381 3.5908 2.3893
9.4501 1.0710 4.5997
11.2424 3.7278 2.4374
12.5720 1.0373 0.0481
14.3643 3.6941 2.2103
0.0000 4.5469 1.3871
3.1843 4.5015 1.4538
4.7538 0.2635 3.8431
7.9381 0.2181 3.7764
11.1225 0.2635 3.8431
12.6920 4.5015 1.4538
0.0000 2.6232 3.3050
1.7104 0.2568 3.8078
1.7345 2.1261 0.8883
3.2082 2.6074 3.3678
4.7299 2.1576 0.9784
6.2036 2.6390 3.2776
6.2278 4.5083 1.4184
7.9381 2.1418 0.9157
9.6485 4.5083 1.4184
9.6727 2.6390 3.2776
11.1463 2.1576 0.9784
12.6681 2.6074 3.3678
14.1418 2.1261 0.8883
14.1659 0.2568 3.8078
```

Peak list (10 most intense, 15 to 90 degrees two-theta, in order of rising 2θ)
d = 3.374 Å, rel. 100
d = 2.644 Å, rel. 56
d = 2.312 Å, rel. 20
d = 1.772 Å, rel. 31
d = 1.770 Å, rel. 30
d = 1.687 Å, rel. 18
d = 1.588 Å, rel. 10
d = 1.437 Å, rel. 11
d = 1.424 Å, rel. 11
d = 1.421 Å, rel. 10

=====

Fe6O5F7: calculated powder XRD pattern (CuKα), based on the GGA+U geometry in Alexandria.
Peak positions follow from Bragg's law for the DFT cell and can differ from measured ones.

Structural model:
```
Fe6O5F7
1.0
4.7028 0.0000 0.0000
0.3015 5.5722 0.0000
0.2816 0.2817 7.8095
Fe O F
6 5 7
Cartesian
0.0000 0.0000 0.0000
0.3158 3.8055 2.4747
0.3957 2.0318 5.1358
2.6118 0.9187 2.6112
2.9267 4.8033 5.0550
3.1402 3.0384 7.7015
1.6856 0.8623 4.3824
3.7435 4.8892 3.3210
3.4810 1.1009 0.8517
3.8347 3.2282 5.8132
4.2202 3.9702 0.7373
1.3096 1.9103 6.9357
1.3543 3.5969 4.3093
1.4849 5.4139 1.7553
1.9936 4.7642 6.8712
1.7309 2.6139 1.8185
4.0710 0.4744 5.8752
4.1237 2.0826 3.3873
```

Peak list (10 most intense, 15 to 90 degrees two-theta, in order of rising 2θ)
d = 3.400 Å, rel. 100
d = 3.190 Å, rel. 87
d = 2.612 Å, rel. 54
d = 2.603 Å, rel. 26
d = 2.593 Å, rel. 27
d = 2.308 Å, rel. 26
d = 1.773 Å, rel. 33
d = 1.758 Å, rel. 17
d = 1.701 Å, rel. 30
d = 1.572 Å, rel. 18

=====

Fe6O7F5: calculated powder XRD pattern (CuKα), based on the GGA+U geometry in Alexandria.
Peak positions follow from Bragg's law for the DFT cell and can differ from measured ones.

Structural model:
```
Fe6O7F5
1.0
4.7467 0.0000 0.0000
0.3758 5.6204 0.0000
0.3577 0.7537 7.6438
Fe O F
6 7 5
Cartesian
0.0000 0.0000 0.0000
0.3851 3.9376 2.6763
2.5468 2.8148 0.1039
3.1375 5.2695 5.2711
2.8103 1.2899 2.6166
4.9777 2.4043 5.1884
1.7405 2.7765 1.8658
2.1142 5.1794 6.9565
3.7891 3.6543 6.0317
3.8117 5.2305 3.4279
3.4787 1.2569 0.8173
4.1522 0.8735 5.9255
4.1575 2.4261 3.4968
1.3457 5.5635 1.8293
1.3562 3.9212 4.4460
1.3564 2.3355 6.8541
1.7077 1.1721 4.4033
4.1817 4.0675 0.8815
```

Peak list (10 most intense, 15 to 90 degrees two-theta, in order of rising 2θ)
d = 3.488 Å, rel. 100
d = 3.226 Å, rel. 88
d = 2.547 Å, rel. 89
d = 2.369 Å, rel. 17
d = 2.283 Å, rel. 17
d = 1.772 Å, rel. 44
d = 1.744 Å, rel. 15
d = 1.700 Å, rel. 36
d = 1.510 Å, rel. 16
d = 1.400 Å, rel. 29

=====

Fe4OF7: calculated powder XRD pattern (CuKα), based on the GGA+U geometry in Alexandria.
Peak positions follow from Bragg's law for the DFT cell and can differ from measured ones.

Structural model:
```
Fe4OF7
1.0
3.2567 -9.6209 0.0000
3.2567 9.6209 0.0000
-3.2488 0.0000 4.7933
Fe O F
8 2 14
Cartesian
1.6323 8.3612 2.3967
0.1403 6.0469 4.5815
1.7831 3.6037 2.3114
0.1917 1.2844 4.7152
1.8161 -1.2844 2.3185
0.1587 -3.6037 4.7081
1.7647 -6.0469 2.1848
3.2567 -8.3612 0.0000
5.1159 2.1256 0.7999
3.4915 -2.1256 3.1966
-1.5891 0.2685 3.7909
0.0353 -0.2685 1.3943
0.1306 2.6631 3.2579
1.6426 2.0831 0.8713
3.3411 4.5680 1.2517
1.8347 5.0131 3.7475
0.0182 -2.0831 3.2680
1.7550 -2.6631 0.8613
1.8721 0.2555 3.6901
3.4965 -0.2555 1.2934
3.4085 2.5543 3.2439
1.7167 -4.5680 3.6483
3.4592 -5.0131 1.3508
5.0329 -2.5543 0.8472
```

Peak list (10 most intense, 15 to 90 degrees two-theta, in order of rising 2θ)
d = 3.395 Å, rel. 100
d = 2.695 Å, rel. 58
d = 2.350 Å, rel. 21
d = 1.794 Å, rel. 50
d = 1.790 Å, rel. 16
d = 1.698 Å, rel. 20
d = 1.628 Å, rel. 11
d = 1.468 Å, rel. 13
d = 1.439 Å, rel. 12
d = 1.434 Å, rel. 11

=====

Fe4OF7: calculated powder XRD pattern (CuKα), based on the GGA+U geometry in Alexandria.
Peak positions follow from Bragg's law for the DFT cell and can differ from measured ones.

Structural model:
```
Fe4OF7
1.0
6.4506 0.0000 0.0000
0.0000 4.8304 0.0000
-3.0934 0.0000 9.7216
Fe O F
8 2 14
Cartesian
-0.7710 0.0000 3.5168
0.7832 2.2222 1.2714
-0.7627 4.5749 8.4787
0.8564 2.2944 6.0289
2.5009 4.7096 3.6926
4.1199 2.1597 1.2429
2.5741 4.6373 8.4501
4.1283 2.4152 6.2048
-2.3363 3.6960 7.5045
5.6936 1.2808 2.2170
-0.8242 3.2772 5.0544
-2.2172 0.7805 9.4519
-0.7878 1.3540 6.9519
0.8022 3.7521 2.8345
0.7928 0.7857 4.6416
2.4093 3.1572 0.3779
0.8363 3.7236 7.4499
2.5209 1.3085 2.2717
0.9480 0.7420 9.3437
2.5645 3.2009 5.0800
2.5551 1.3369 6.8871
4.1451 3.7692 2.7697
5.5745 3.1957 0.2697
4.1815 0.8620 4.6672
```

Peak list (10 most intense, 15 to 90 degrees two-theta, in order of rising 2θ)
d = 3.426 Å, rel. 100
d = 2.704 Å, rel. 14
d = 2.682 Å, rel. 26
d = 2.671 Å, rel. 12
d = 1.811 Å, rel. 16
d = 1.801 Å, rel. 15
d = 1.791 Å, rel. 32
d = 1.713 Å, rel. 18
d = 1.613 Å, rel. 11
d = 1.440 Å, rel. 17

=====

Fe5O3F7: calculated powder XRD pattern (CuKα), based on the GGA+U geometry in Alexandria.
Peak positions follow from Bragg's law for the DFT cell and can differ from measured ones.

Structural model:
```
Fe5O3F7
1.0
4.7889 0.0000 0.0000
0.0000 4.7970 0.0000
-4.7152 0.0000 15.7295
Fe O F
10 6 14
Cartesian
0.0000 1.0664 0.0000
-2.3576 3.7306 7.8648
-0.0968 1.2837 3.0682
-2.4545 3.5133 10.9330
-0.1605 1.1859 6.1876
-2.5181 3.6111 14.0524
-0.2752 1.2988 9.2353
2.0824 3.4982 1.3705
-0.2700 1.3335 12.4921
2.0876 3.4635 4.6273
0.6980 2.0245 1.4952
-1.6596 2.7725 9.3599
-1.0719 0.2943 7.6078
-3.4295 4.5027 15.4726
0.6644 2.0308 4.6561
-1.6933 2.7662 12.5209
-1.1710 0.1989 4.5946
-3.5286 4.5981 12.4594
-3.9502 2.1306 14.1361
-1.5926 2.6664 6.2713
-1.1979 0.2885 10.9096
1.1597 4.5085 3.0449
0.8657 2.2544 7.6172
-1.4919 2.5426 15.4820
-1.0509 0.2357 14.1586
1.3067 4.5613 6.2938
0.7764 2.2502 10.8869
3.1340 2.5467 3.0221
3.6541 0.1810 1.4909
1.2965 4.6160 9.3557
```

Peak list (10 most intense, 15 to 90 degrees two-theta, in order of rising 2θ)
d = 3.389 Å, rel. 100
d = 2.632 Å, rel. 41
d = 2.624 Å, rel. 14
d = 2.310 Å, rel. 10
d = 2.302 Å, rel. 9
d = 1.774 Å, rel. 30
d = 1.769 Å, rel. 31
d = 1.695 Å, rel. 18
d = 1.573 Å, rel. 9
d = 1.425 Å, rel. 22

=====

Fe5O2F8: calculated powder XRD pattern (CuKα), based on the GGA+U geometry in Alexandria.
Peak positions follow from Bragg's law for the DFT cell and can differ from measured ones.

Structural model:
```
Fe5O2F8
1.0
7.9966 0.0000 0.0000
0.0000 4.7990 0.0000
-3.0352 0.0000 9.6146
Fe O F
10 4 16
Cartesian
-0.1585 0.0000 1.5545
-0.1137 2.1066 4.3082
-0.2868 4.5243 7.2653
2.5777 2.2908 0.3891
2.3894 4.6337 3.3519
2.5721 2.2342 6.2626
2.3837 4.6903 9.2255
5.2483 2.1248 2.3492
5.0751 4.5061 5.3064
5.1200 2.3995 8.0601
-1.1452 3.2161 8.2867
0.6168 0.7713 3.0520
4.3447 3.1709 6.5625
6.1066 0.8166 1.3279
-1.9729 0.8213 6.9956
0.7102 1.2145 0.1311
-0.8582 3.6991 5.4927
1.6158 3.6489 1.5582
0.6215 1.1885 6.1693
1.7304 3.0896 4.5445
0.4201 0.7531 8.8995
1.5381 3.7073 7.4647
3.4233 1.3078 2.1498
4.5413 3.1526 0.7151
3.2310 0.6901 5.0701
4.3399 3.5881 3.4453
3.3456 1.2494 8.0564
5.8196 1.2995 4.1218
4.2512 3.6140 9.4834
6.9344 3.2208 2.6190
```

Peak list (10 most intense, 15 to 90 degrees two-theta, in order of rising 2θ)
d = 3.381 Å, rel. 100
d = 2.679 Å, rel. 43
d = 2.664 Å, rel. 14
d = 2.329 Å, rel. 10
d = 1.786 Å, rel. 32
d = 1.783 Å, rel. 16
d = 1.775 Å, rel. 15
d = 1.691 Å, rel. 18
d = 1.614 Å, rel. 10
d = 1.433 Å, rel. 10